Record 1
Theoretical X-ray diffraction stick pattern of HoHO2 for CuKα, from DFT lattice parameters and positions (PBE).

Structure:
Unit cell a=4.304 b=3.647 c=6.015 alpha=90.00 beta=110.04 gamma=90.00
Sites, in units of the cell vectors:
Ho  0.163  0.250  0.311
Ho  0.837  0.750  0.689
H  0.487  0.750  0.096
H  0.513  0.250  0.904
O  0.250  0.750  0.068
O  0.266  0.750  0.549
O  0.734  0.250  0.451
O  0.750  0.250  0.932

Main lines, low angle first (5° ≤ 2θ ≤ 70°):
two_theta  I (rel.)  (hkl)
15.68  36  0 0 1
21.98  30  1 0 0
22.22  44  1 0 -1
29.15  100  0 1 1
31.31  50  1 0 1
31.82  34  1 0 -2
33.08  36  1 1 0
33.25  55  1 1 -1
40.39  35  0 1 2
51.86  29  1 1 2



Record 2
Theoretical X-ray diffraction stick pattern of HoH3O3 for CuKα, from DFT lattice parameters and positions (PBE).

Structure:
Unit cell a=6.322 b=6.322 c=3.526 alpha=90.00 beta=90.00 gamma=120.00
Sites, in units of the cell vectors:
Ho  0.333  0.667  0.250
Ho  0.667  0.333  0.750
H  0.139  0.860  0.750
H  0.140  0.279  0.750
H  0.279  0.139  0.250
H  0.721  0.861  0.750
H  0.860  0.721  0.250
H  0.861  0.140  0.250
O  0.085  0.398  0.750
O  0.313  0.915  0.750
O  0.398  0.313  0.250
O  0.602  0.687  0.750
O  0.687  0.085  0.250
O  0.915  0.602  0.250

Main lines, low angle first (5° ≤ 2θ ≤ 70°):
two_theta  I (rel.)  (hkl)
16.19  100  1 0 0
28.23  74  1 1 0
30.15  98  1 0 1
32.71  17  2 0 0
41.77  67  2 0 1
43.74  13  2 1 0
49.97  25  3 0 0
51.18  63  2 1 1
60.10  19  1 1 2
67.11  21  1 3 1



Record 3
Theoretical X-ray diffraction stick pattern of HoHO2 for CuKα, from DFT lattice parameters and positions (PBE).

Structure:
Unit cell a=11.086 b=3.527 c=4.963 alpha=90.00 beta=90.00 gamma=90.00
Sites, in units of the cell vectors:
Ho  0.145  0.250  0.068
Ho  0.355  0.750  0.568
Ho  0.645  0.250  0.432
Ho  0.855  0.750  0.932
H  0.088  0.750  0.610
H  0.412  0.250  0.110
H  0.588  0.750  0.890
H  0.912  0.250  0.390
O  0.059  0.750  0.801
O  0.193  0.750  0.312
O  0.307  0.250  0.812
O  0.441  0.250  0.301
O  0.559  0.750  0.699
O  0.693  0.750  0.188
O  0.807  0.250  0.688
O  0.941  0.250  0.199

Main lines, low angle first (5° ≤ 2θ ≤ 70°):
two_theta  I (rel.)  (hkl)
19.60  98  1 0 1
24.07  28  2 0 1
30.03  71  2 1 0
30.15  65  3 0 1
32.16  100  1 1 1
32.30  32  4 0 0
37.14  25  1 0 2
45.44  29  1 1 2
47.72  32  2 1 2
52.09  40  5 1 1



Record 4
Theoretical X-ray diffraction stick pattern of HoHO2 for CuKα, from DFT lattice parameters and positions (PBE).

Structure:
Unit cell a=3.505 b=3.505 c=9.207 alpha=90.00 beta=90.00 gamma=120.00
Sites, in units of the cell vectors:
Ho  0.000  0.000  0.000
Ho  0.000  0.000  0.500
H  0.333  0.667  0.250
H  0.667  0.333  0.750
O  0.333  0.667  0.117
O  0.333  0.667  0.383
O  0.667  0.333  0.617
O  0.667  0.333  0.883

Main lines, low angle first (5° ≤ 2θ ≤ 70°):
two_theta  I (rel.)  (hkl)
19.28  79  0 0 2
29.43  65  1 0 0
35.42  100  1 0 2
49.71  46  1 0 4
52.20  23  1 1 0
56.16  28  1 1 2
61.06  9  2 0 0
64.67  18  2 0 2
67.13  12  1 1 4
68.52  16  1 0 6



Record 5
Theoretical X-ray diffraction stick pattern of HoHO2 for CuKα, from DFT lattice parameters and positions (PBE).

Structure:
Unit cell a=3.486 b=4.849 c=5.464 alpha=90.00 beta=90.00 gamma=90.00
Sites, in units of the cell vectors:
Ho  0.000  0.223  0.000
Ho  0.500  0.777  0.500
H  0.000  0.306  0.480
H  0.500  0.694  0.980
O  0.000  0.018  0.639
O  0.000  0.479  0.374
O  0.500  0.521  0.874
O  0.500  0.982  0.139

Main lines, low angle first (5° ≤ 2θ ≤ 70°):
two_theta  I (rel.)  (hkl)
24.55  100  0 1 1
30.42  46  1 0 1
31.61  60  1 1 0
32.78  26  0 0 2
46.18  40  1 1 2
48.69  39  1 2 1
50.32  15  0 2 2
53.76  13  0 1 3
57.05  15  1 0 3
58.78  19  2 1 1